# 1
For Cr3In2O8, DFT lattice parameters and positions (GGA+U) gives the computed powder diffractogram in this record (Cu Kα X-rays).
No peak broadening, texture or thermal motion is included.

Structure:
```
Cr3In2O8
1.0
5.343 -2.987 0.000
5.343 2.987 0.000
-1.736 0.000 4.781
Cr In O
3 2 8
direct
0.000 0.000 0.000
0.259 0.741 0.500
0.743 0.257 0.500
0.276 0.279 0.840
0.721 0.724 0.160
0.108 0.099 0.416
0.113 0.659 0.108
0.341 0.887 0.892
0.387 0.405 0.577
0.595 0.613 0.423
0.657 0.106 0.098
0.894 0.343 0.902
0.901 0.892 0.584
```

Main lines, sorted by position (15 to 90 degrees two-theta):
23.10 deg, intensity 59; 27.62 deg, intensity 96; 29.89 deg, intensity 61; 30.61 deg, intensity 32; 30.76 deg, intensity 100; 34.95 deg, intensity 61; 35.43 deg, intensity 27; 35.71 deg, intensity 40; 44.51 deg, intensity 35; 53.60 deg, intensity 31; 56.03 deg, intensity 42; 63.06 deg, intensity 34


# 2
For ErCo3Cu4O12, DFT lattice parameters and positions (GGA+U) gives the computed powder diffractogram in this record (Cu Kα X-rays).
No peak broadening, texture or thermal motion is included.

Structure:
```
ErCo3Cu4O12
1.0
-3.658 3.658 3.658
3.658 -3.658 3.658
3.658 3.658 -3.658
Er Co Cu O
1 3 4 12
direct
0.000 0.000 0.000
0.000 0.500 0.500
0.500 0.000 0.500
0.500 0.500 0.000
0.000 0.000 0.500
0.000 0.500 0.000
0.500 0.000 0.000
0.500 0.500 0.500
0.137 0.829 0.307
0.171 0.307 0.478
0.171 0.693 0.863
0.307 0.137 0.829
0.307 0.478 0.171
0.478 0.171 0.307
0.522 0.829 0.693
0.693 0.522 0.829
0.693 0.863 0.171
0.829 0.307 0.137
0.829 0.693 0.522
0.863 0.171 0.693
```

Main lines, sorted by position (15 to 90 degrees two-theta):
17.14 deg, intensity 17; 29.92 deg, intensity 6; 34.68 deg, intensity 100; 38.93 deg, intensity 11; 42.82 deg, intensity 3; 46.44 deg, intensity 11; 49.86 deg, intensity 24; 62.16 deg, intensity 46; 65.00 deg, intensity 4; 73.18 deg, intensity 12; 81.02 deg, intensity 3; 83.58 deg, intensity 16